For KV2InO6, a cell relaxed with PBE+U gives the theoretical XRD peak list in this record (Cu Kα).
Neutral-atom scattering factors, no anomalous dispersion.

a = 7.9184 Å, b = 7.9184 Å, c = 6.0623 Å
α = 99.70°, β = 99.70°, γ = 87.22°
Positions (direct):
1 K 0.1042 0.8958 0.7500
2 K 0.8958 0.1042 0.2500
3 V 0.1936 0.3600 0.7561
4 V 0.3600 0.1936 0.2561
5 V 0.6400 0.8064 0.7439
6 V 0.8064 0.6400 0.2439
7 In 0.2947 0.7053 0.2500
8 In 0.7053 0.2947 0.7500
9 O 0.0161 0.2373 0.6928
10 O 0.1383 0.5666 0.8199
11 O 0.2373 0.0161 0.1928
12 O 0.3028 0.3283 0.5083
13 O 0.3283 0.3028 0.0083
14 O 0.4334 0.8617 0.6801
15 O 0.5666 0.1383 0.3199
16 O 0.6717 0.6972 0.9917
17 O 0.6972 0.6717 0.4917
18 O 0.7627 0.9839 0.8072
19 O 0.8617 0.4334 0.1801
20 O 0.9839 0.7627 0.3072

Main lines, low angle first (2θ from 15° to 90°):
d [Å]	Rel. int.
5.122	32
3.902	63
3.528	100
3.366	29
3.084	21
3.034	44
2.948	49
2.478	26
2.144	19
1.883	23